Structure and theoretical powder XRD pattern of Li7Co5O12 (a cell relaxed with GGA+U; Cu Ka).
Lines closer than 0.1° are merged.

Crystal structure
a b c (Å): 4.954 8.730 9.723
angles (deg): 89.39 79.70 89.26
Fractional coordinates of all 48 atoms:
1 Li 0.000 0.000 0.000
2 Li 0.000 0.168 0.499
3 Li 0.001 0.670 0.000
4 Li 0.002 0.834 0.508
5 Li 0.009 0.333 0.001
6 Li 0.250 0.835 0.754
7 Li 0.251 0.335 0.254
8 Li 0.494 0.335 0.507
9 Li 0.499 0.670 0.508
10 Li 0.500 0.834 0.001
11 Li 0.501 0.501 0.010
12 Li 0.502 0.000 0.509
13 Li 0.502 0.170 0.009
14 Li 0.999 0.500 0.499
15 Co 0.250 0.000 0.254
16 Co 0.251 0.159 0.753
17 Co 0.251 0.511 0.755
18 Co 0.252 0.669 0.254
19 Co 0.745 0.674 0.755
20 Co 0.749 0.173 0.254
21 Co 0.750 0.335 0.755
22 Co 0.751 0.835 0.254
23 Co 0.753 0.496 0.254
24 Co 0.757 0.995 0.753
25 O 0.096 0.002 0.637
26 O 0.105 0.657 0.643
27 O 0.117 0.325 0.644
28 O 0.120 0.836 0.149
29 O 0.122 0.147 0.142
30 O 0.125 0.524 0.143
31 O 0.377 0.145 0.365
32 O 0.378 0.522 0.366
33 O 0.382 0.834 0.359
34 O 0.387 0.344 0.866
35 O 0.395 0.012 0.865
36 O 0.405 0.667 0.871
37 O 0.612 0.993 0.144
38 O 0.615 0.678 0.145
39 O 0.616 0.515 0.644
40 O 0.618 0.155 0.643
41 O 0.643 0.832 0.644
42 O 0.652 0.336 0.130
43 O 0.850 0.334 0.379
44 O 0.857 0.838 0.864
45 O 0.886 0.154 0.864
46 O 0.886 0.515 0.864
47 O 0.887 0.991 0.363
48 O 0.889 0.676 0.364

Main lines, by angle (2θ = 15–90°):
- 18.55°, intensity 1000
- 36.07°, intensity 138
- 36.57°, intensity 123
- 36.89°, intensity 123
- 43.61°, intensity 279
- 44.28°, intensity 262
- 44.65°, intensity 257
- 48.30°, intensity 121
- 63.80°, intensity 73
- 64.02°, intensity 138